# Rb12Br5O3
Computed powder XRD pattern, Cu Kα, 1.54184 Å. Input: a structure optimized by DFT (GGA-PBE).
Peak positions follow from Bragg's law for the DFT cell and can differ from measured ones.

Atomic structure:
```
20
Lattice="14.0937 0.0000 0.0000 -7.0469 12.2055 0.0000 0.0000 0.0000 4.5236" Properties=species:S:1:pos:R:3 pbc="T T T"
Rb -3.8464 6.6621 0.0000
Rb -5.6795 9.8371 0.0000
Rb 1.3674 2.3684 0.0000
Rb -0.0549 5.3165 2.2618
Rb -2.4152 9.5948 2.2618
Rb 4.6317 2.6107 2.2618
Rb 3.2005 5.5434 0.0000
Rb 7.6927 0.0000 0.0000
Rb 2.4701 9.4997 2.2618
Rb 6.9920 6.8890 2.2618
Rb 9.5170 2.7058 2.2618
Rb 11.3589 0.0000 0.0000
Br -2.0834 3.6086 0.0000
Br 4.1669 0.0000 0.0000
Br 0.0000 8.1370 0.0000
Br 7.0469 4.0685 0.0000
Br 4.9634 8.5969 0.0000
O -4.6989 8.1388 2.2618
O 2.3479 4.0667 2.2618
O 9.3979 0.0000 2.2618
```

Top 10 peaks for 2θ = 15–90°, by intensity:
2θ (°)	I (rel.)
27.62	100
26.33	39
29.53	28
29.27	20
39.86	20
33.05	19
32.20	17
58.20	17
39.25	15
56.52	14

# Rb5Br2O2
Computed powder XRD pattern, Cu Kα, 1.54184 Å. Input: a structure optimized by DFT (GGA-PBE).
Peak positions follow from Bragg's law for the DFT cell and can differ from measured ones.

Atomic structure:
```
9
Lattice="5.5330 0.0000 0.0000 0.0000 5.5330 0.0000 0.0000 0.0000 10.6023" Properties=species:S:1:pos:R:3 pbc="T T T"
Rb 0.0000 0.0000 0.0000
Rb 0.0000 2.7665 3.0058
Rb 0.0000 2.7665 7.5965
Rb 2.7665 0.0000 3.0058
Rb 2.7665 0.0000 7.5965
Br 2.7665 2.7665 0.0000
Br 2.7665 2.7665 5.3012
O 0.0000 0.0000 2.5129
O 0.0000 0.0000 8.0895
```

Top 10 peaks for 2θ = 15–90°, by intensity:
2θ (°)	I (rel.)
28.35	100
32.36	49
55.29	30
47.51	21
46.42	17
33.82	14
24.25	14
48.85	12
58.65	11
41.45	10

# Rb2SbBr3O
Computed powder XRD pattern, Cu Kα, 1.54184 Å. Input: a structure optimized by DFT (GGA-PBE).
Peak positions follow from Bragg's law for the DFT cell and can differ from measured ones.

Atomic structure:
```
7
Lattice="-2.1240 2.9416 9.2297 2.1240 -2.9416 9.2297 2.1240 2.9416 -9.2297" Properties=species:S:1:pos:R:3 pbc="T T T"
Rb 0.0000 0.0000 2.7213
Rb 0.0000 0.0000 15.7381
Sb 0.0000 0.0000 9.2297
Br 2.1240 0.0000 0.0000
Br 0.0000 0.0000 6.2103
Br 0.0000 0.0000 12.2491
O 0.0000 2.9416 0.0000
```

Top 10 peaks for 2θ = 15–90°, by intensity:
2θ (°)	I (rel.)
25.87	100
42.54	83
30.39	80
29.02	76
39.27	50
32.44	41
21.46	34
61.73	34
32.12	32
53.19	31

# Rb6SeBr2O
Computed powder XRD pattern, Cu Kα, 1.54184 Å. Input: a structure optimized by DFT (GGA-PBE).
Peak positions follow from Bragg's law for the DFT cell and can differ from measured ones.

Atomic structure:
```
20
Lattice="8.0923 0.0000 0.0000 0.0000 11.9640 0.0000 0.0000 0.0000 9.2356" Properties=species:S:1:pos:R:3 pbc="T T T"
Rb 0.1177 2.9910 0.2403
Rb 0.1276 8.9730 3.6019
Rb 2.0231 0.2062 7.3541
Rb 2.0231 5.7758 7.3541
Rb 3.9185 8.9730 3.6019
Rb 3.9285 2.9910 0.2403
Rb 4.1638 8.9730 8.9953
Rb 4.1738 2.9910 5.6337
Rb 6.0693 6.1882 1.8815
Rb 6.0693 11.7578 1.8815
Rb 7.9647 2.9910 5.6337
Rb 7.9747 8.9730 8.9953
Se 2.0231 8.9730 6.3540
Se 6.0693 2.9910 2.8816
Br 2.0231 6.5828 1.5100
Br 2.0231 11.3632 1.5100
Br 6.0693 0.6008 7.7256
Br 6.0693 5.3812 7.7256
O 2.0231 2.9910 7.3564
O 6.0693 8.9730 1.8791
```

Top 10 peaks for 2θ = 15–90°, by intensity:
2θ (°)	I (rel.)
26.60	100
29.35	62
32.72	61
30.31	56
29.88	54
24.34	54
33.00	37
42.37	33
36.68	31
48.39	29